The following is a simulated powder diffraction line list of LiEr3In2. It was derived from a DFT-relaxed cell (PBE, Alexandria), using CuKα.
No peak broadening, texture or thermal motion is included.

Largest 10 diffraction maxima, sorted by position, 2θ = 10–80°:
Position (°2θ), I/Imax
20.8, 7
24.0, 16
34.2, 100
42.3, 4
49.2, 18
55.4, 3
61.1, 9
61.3, 28
72.0, 6
72.1, 6

```
LiEr3In2
1.0
5.2370 0.0000 0.0000
-2.6185 4.5354 0.0000
0.0000 0.0000 12.8700
Li Er In
2 6 4
direct
0.3333 0.6667 0.1706
0.6667 0.3333 0.8294
0.0000 0.0000 0.2498
0.0000 0.0000 0.7502
0.3333 0.6667 0.4161
0.3333 0.6667 0.9188
0.6667 0.3333 0.0812
0.6667 0.3333 0.5839
0.0000 0.0000 0.0000
0.0000 0.0000 0.5000
0.3333 0.6667 0.6774
0.6667 0.3333 0.3226
```

The following is a simulated powder diffraction line list of CaCd4Ag4. It was derived from a DFT-relaxed cell (PBE, Alexandria), using CuKα.
No peak broadening, texture or thermal motion is included.

Largest 10 diffraction maxima, sorted by position, 2θ = 10–80°:
Position (°2θ), I/Imax
20.7, 18
28.5, 18
31.0, 46
34.8, 62
36.9, 43
39.5, 17
40.2, 100
49.0, 24
64.6, 19
68.7, 32

```
CaCd4Ag4
1.0
-4.5602 4.5602 2.4351
4.5602 -4.5602 2.4351
4.5602 4.5602 -2.4351
Ca Cd Ag
1 4 4
direct
0.0000 0.0000 0.0000
0.0848 0.6375 0.7222
0.3625 0.0848 0.4473
0.6375 0.9152 0.5527
0.9152 0.3625 0.2778
0.2992 0.3882 0.6874
0.3882 0.7008 0.0890
0.6118 0.2992 0.9110
0.7008 0.6118 0.3126
```

The following is a simulated powder diffraction line list of RbHS3. It was derived from a DFT-relaxed cell (PBE, Alexandria), using CuKα.
No peak broadening, texture or thermal motion is included.

Largest 10 diffraction maxima, sorted by position, 2θ = 10–80°:
Position (°2θ), I/Imax
17.9, 28
22.0, 56
22.1, 43
28.0, 36
28.2, 99
28.5, 100
35.9, 29
36.1, 44
36.3, 50
48.8, 30

```
RbHS3
1.0
5.2226 0.0000 0.0000
0.0000 8.0544 0.0000
-2.0749 0.0000 6.3791
Rb H S
2 2 6
direct
0.0358 0.0000 0.2903
0.9642 0.5000 0.7097
0.2696 0.0788 0.8547
0.7304 0.5788 0.1453
0.0667 0.4256 0.2257
0.3525 0.6075 0.3407
0.4906 0.1932 0.8911
0.5094 0.6932 0.1089
0.6475 0.1075 0.6593
0.9333 0.9256 0.7743
```

The following is a simulated powder diffraction line list of Ce3Pu3Ge2. It was derived from a DFT-relaxed cell (PBE, Alexandria), using CuKα.
No peak broadening, texture or thermal motion is included.

Largest 10 diffraction maxima, sorted by position, 2θ = 10–80°:
Position (°2θ), I/Imax
21.5, 32
30.9, 25
34.3, 61
35.0, 100
37.6, 36
37.9, 24
54.5, 16
56.7, 21
64.4, 17
74.2, 15

```
Ce3Pu3Ge2
1.0
4.1423 2.3915 3.2656
-4.1423 2.3915 3.2656
0.0000 -4.7831 3.2656
Ce Pu Ge
3 3 2
direct
0.0000 0.7311 0.2689
0.2689 0.0000 0.7311
0.7311 0.2689 0.0000
0.2310 0.5000 0.7690
0.5000 0.7690 0.2310
0.7690 0.2310 0.5000
0.2461 0.2461 0.2461
0.7539 0.7539 0.7539
```

The following is a simulated powder diffraction line list of BeRu2W. It was derived from a DFT-relaxed cell (PBE, Alexandria), using CuKα.
No peak broadening, texture or thermal motion is included.

Largest 10 diffraction maxima, sorted by position, 2θ = 10–80°:
Position (°2θ), I/Imax
11.1, 93
33.6, 27
37.5, 28
40.4, 100
42.0, 31
45.4, 20
48.5, 55
63.6, 16
67.4, 22
77.5, 14

```
BeRu2W
1.0
2.7801 0.0000 0.0000
-1.3900 2.4076 0.0000
0.0000 0.0000 23.9724
Be Ru W
3 6 3
direct
0.0000 0.0000 0.0000
0.3333 0.6667 0.6667
0.6667 0.3333 0.3333
0.0000 0.0000 0.2586
0.0000 0.0000 0.7414
0.3333 0.6667 0.4081
0.3333 0.6667 0.9252
0.6667 0.3333 0.0748
0.6667 0.3333 0.5919
0.0000 0.0000 0.5000
0.3333 0.6667 0.1667
0.6667 0.3333 0.8333
```

The following is a simulated powder diffraction line list of KBe2Tl2O6. It was derived from a DFT-relaxed cell (PBE, Alexandria), using CuKα.
No peak broadening, texture or thermal motion is included.

Largest 10 diffraction maxima, sorted by position, 2θ = 10–80°:
Position (°2θ), I/Imax
16.5, 34
18.6, 100
19.6, 43
20.7, 55
26.8, 34
28.8, 41
29.3, 42
31.7, 52
34.4, 35
35.5, 42

```
KBe2Tl2O6
1.0
5.8624 0.0000 0.0000
2.7066 5.2417 0.0000
0.1779 3.1561 5.3779
K Be Tl O
1 2 2 6
direct
0.0000 0.0000 0.0000
0.2891 0.2868 0.2666
0.7109 0.7132 0.7334
0.2844 0.6278 0.6583
0.7156 0.3722 0.3417
0.1110 0.1507 0.3112
0.3246 0.4377 0.4023
0.4654 0.2771 0.0724
0.5346 0.7229 0.9276
0.6754 0.5623 0.5977
0.8890 0.8493 0.6888
```

The following is a simulated powder diffraction line list of MgTiNi14. It was derived from a DFT-relaxed cell (PBE, Alexandria), using CuKα.
No peak broadening, texture or thermal motion is included.

Largest 9 diffraction maxima, sorted by position, 2θ = 10–80°:
Position (°2θ), I/Imax
12.4, 4
17.6, 1
24.9, 1
27.9, 1
35.5, 1
43.9, 100
51.1, 46
52.8, 2
75.2, 26

```
MgTiNi14
1.0
5.0518 0.0000 0.0000
0.0000 5.0518 0.0000
0.0000 0.0000 7.1511
Mg Ti Ni
1 1 14
direct
0.0000 0.0000 0.0000
0.5000 0.5000 0.0000
0.0000 0.0000 0.5000
0.0000 0.5000 0.0000
0.0000 0.5000 0.5000
0.2521 0.2521 0.2591
0.2521 0.2521 0.7409
0.2521 0.7479 0.2591
0.2521 0.7479 0.7409
0.5000 0.0000 0.0000
0.5000 0.0000 0.5000
0.5000 0.5000 0.5000
0.7479 0.2521 0.2591
0.7479 0.2521 0.7409
0.7479 0.7479 0.2591
0.7479 0.7479 0.7409
```

Copy entry 4 word for word.
The following is a simulated powder diffraction line list of Ce3Pu3Ge2. It was derived from a DFT-relaxed cell (PBE, Alexandria), using CuKα.
No peak broadening, texture or thermal motion is included.

Largest 10 diffraction maxima, sorted by position, 2θ = 10–80°:
Position (°2θ), I/Imax
21.5, 32
30.9, 25
34.3, 61
35.0, 100
37.6, 36
37.9, 24
54.5, 16
56.7, 21
64.4, 17
74.2, 15

```
Ce3Pu3Ge2
1.0
4.1423 2.3915 3.2656
-4.1423 2.3915 3.2656
0.0000 -4.7831 3.2656
Ce Pu Ge
3 3 2
direct
0.0000 0.7311 0.2689
0.2689 0.0000 0.7311
0.7311 0.2689 0.0000
0.2310 0.5000 0.7690
0.5000 0.7690 0.2310
0.7690 0.2310 0.5000
0.2461 0.2461 0.2461
0.7539 0.7539 0.7539
```